# 1
For CaPH4O5F, a PBE-relaxed structure gives the simulated powder X-ray diffraction pattern in this record (Cu Kα (weighted mean of Kα1 and Kα2)).
Neutral-atom scattering factors, no anomalous dispersion.

Most intense lines, 10° ≤ 2θ ≤ 90°, by intensity:
- 2θ 11.32, 7.814 Å, I = 1000
- 2θ 22.45, 3.961 Å, I = 610
- 2θ 26.69, 3.340 Å, I = 483
- 2θ 19.50, 4.553 Å, I = 449
- 2θ 31.06, 2.879 Å, I = 340
- 2θ 30.19, 2.960 Å, I = 334
- 2θ 34.00, 2.637 Å, I = 329
- 2θ 29.37, 3.041 Å, I = 246
- 2θ 34.27, 2.617 Å, I = 224
- 2θ 32.82, 2.729 Å, I = 155
- 2θ 43.70, 2.072 Å, I = 151
- 2θ 45.87, 1.978 Å, I = 150

Atomic structure:
Lattice parameters (Å, degrees): 5.804 6.304 8.484 109.20 92.92 114.89
Atoms (fractional coordinates):
Ca  0.026  0.323  0.142
Ca  0.974  0.677  0.858
P  0.438  0.148  0.850
P  0.562  0.852  0.150
H  0.101  0.824  0.363
H  0.195  0.756  0.510
H  0.267  0.308  0.468
H  0.392  0.201  0.316
H  0.608  0.799  0.684
H  0.733  0.692  0.532
H  0.805  0.244  0.490
H  0.899  0.176  0.637
O  0.084  0.682  0.393
O  0.242  0.233  0.344
O  0.251  0.146  0.969
O  0.272  0.688  0.066
O  0.359  0.878  0.725
O  0.641  0.122  0.275
O  0.728  0.312  0.934
O  0.749  0.854  0.031
O  0.758  0.767  0.656
O  0.916  0.318  0.607
F  0.391  0.288  0.731
F  0.609  0.712  0.269

# 2
For K2RbInBr6, a PBE-relaxed structure gives the simulated powder X-ray diffraction pattern in this record (Cu Kα (weighted mean of Kα1 and Kα2)).
Neutral-atom scattering factors, no anomalous dispersion.

Most intense lines, 10° ≤ 2θ ≤ 90°, by intensity:
- 2θ 30.14, 2.965 Å, I = 1000
- 2θ 14.94, 5.930 Å, I = 799
- 2θ 43.15, 2.097 Å, I = 676
- 2θ 26.03, 3.424 Å, I = 433
- 2θ 33.80, 2.652 Å, I = 370
- 2θ 71.10, 1.326 Å, I = 242
- 2θ 53.53, 1.712 Å, I = 218
- 2θ 45.91, 1.977 Å, I = 193
- 2θ 12.93, 6.847 Å, I = 172
- 2θ 79.12, 1.210 Å, I = 167
- 2θ 21.19, 4.193 Å, I = 156
- 2θ 39.48, 2.282 Å, I = 143

Atomic structure:
Lattice parameters (Å, degrees): 8.386 8.386 8.386 60.00 60.00 60.00
Atoms (fractional coordinates):
K  0.250  0.250  0.250
K  0.750  0.750  0.750
Rb  0.000  0.000  0.000
In  0.500  0.500  0.500
Br  0.272  0.272  0.728
Br  0.272  0.728  0.272
Br  0.272  0.728  0.728
Br  0.728  0.272  0.272
Br  0.728  0.272  0.728
Br  0.728  0.728  0.272

# 3
For NbCr3Cu2S8, a PBE-relaxed structure gives the simulated powder X-ray diffraction pattern in this record (Cu Kα (weighted mean of Kα1 and Kα2)).
Neutral-atom scattering factors, no anomalous dispersion.

Most intense lines, 10° ≤ 2θ ≤ 90°, by intensity:
- 2θ 36.11, 2.488 Å, I = 1000
- 2θ 53.62, 1.709 Å, I = 810
- 2θ 27.25, 3.273 Å, I = 791
- 2θ 38.27, 2.352 Å, I = 738
- 2θ 26.97, 3.306 Å, I = 705
- 2θ 38.48, 2.340 Å, I = 693
- 2θ 53.39, 1.716 Å, I = 513
- 2θ 36.00, 2.495 Å, I = 480
- 2θ 34.05, 2.633 Å, I = 416
- 2θ 33.45, 2.679 Å, I = 406
- 2θ 46.71, 1.945 Å, I = 364
- 2θ 41.80, 2.161 Å, I = 332

Atomic structure:
Lattice parameters (Å, degrees): 11.452 3.418 12.058 90.00 90.62 90.00
Atoms (fractional coordinates):
Nb  0.146  0.250  0.214
Nb  0.854  0.750  0.786
Cr  0.119  0.250  0.574
Cr  0.354  0.750  0.706
Cr  0.390  0.750  0.068
Cr  0.610  0.250  0.932
Cr  0.646  0.250  0.294
Cr  0.881  0.750  0.426
Cu  0.132  0.750  0.916
Cu  0.388  0.250  0.438
Cu  0.612  0.750  0.562
Cu  0.868  0.250  0.084
S  0.025  0.250  0.381
S  0.033  0.750  0.110
S  0.215  0.250  0.751
S  0.250  0.250  0.023
S  0.252  0.750  0.530
S  0.298  0.750  0.250
S  0.469  0.250  0.619
S  0.471  0.750  0.884
S  0.529  0.250  0.116
S  0.531  0.750  0.381
S  0.702  0.250  0.750
S  0.748  0.250  0.470
S  0.750  0.750  0.977
S  0.785  0.750  0.249
S  0.967  0.250  0.890
S  0.975  0.750  0.619

# 4
For NdSnPt, a PBE-relaxed structure gives the simulated powder X-ray diffraction pattern in this record (Cu Kα (weighted mean of Kα1 and Kα2)).
Neutral-atom scattering factors, no anomalous dispersion.

Most intense lines, 10° ≤ 2θ ≤ 90°, by intensity:
- 2θ 32.64, 2.744 Å, I = 1000
- 2θ 38.45, 2.341 Å, I = 692
- 2θ 31.59, 2.832 Å, I = 514
- 2θ 38.73, 2.325 Å, I = 477
- 2θ 32.53, 2.753 Å, I = 343
- 2θ 37.73, 2.385 Å, I = 330
- 2θ 69.96, 1.345 Å, I = 302
- 2θ 62.22, 1.492 Å, I = 274
- 2θ 55.18, 1.665 Å, I = 224
- 2θ 51.45, 1.776 Å, I = 190
- 2θ 45.72, 1.985 Å, I = 162
- 2θ 66.28, 1.410 Å, I = 132

Atomic structure:
Lattice parameters (Å, degrees): 7.483 4.649 8.129 90.00 90.00 90.00
Atoms (fractional coordinates):
Nd  0.012  0.250  0.195
Nd  0.488  0.750  0.695
Nd  0.512  0.250  0.305
Nd  0.988  0.750  0.805
Sn  0.177  0.250  0.584
Sn  0.323  0.750  0.084
Sn  0.677  0.250  0.916
Sn  0.823  0.750  0.416
Pt  0.211  0.750  0.409
Pt  0.289  0.250  0.909
Pt  0.711  0.750  0.091
Pt  0.789  0.250  0.591

# 5
For Ca2Hf7O16, a PBE-relaxed structure gives the simulated powder X-ray diffraction pattern in this record (Cu Kα (weighted mean of Kα1 and Kα2)).
Neutral-atom scattering factors, no anomalous dispersion.

Most intense lines, 10° ≤ 2θ ≤ 90°, by intensity:
- 2θ 29.87, 2.991 Å, I = 1000
- 2θ 34.77, 2.580 Å, I = 455
- 2θ 30.36, 2.944 Å, I = 326
- 2θ 10.01, 8.833 Å, I = 290
- 2θ 50.31, 1.814 Å, I = 283
- 2θ 49.68, 1.835 Å, I = 263
- 2θ 59.34, 1.557 Å, I = 226
- 2θ 59.90, 1.544 Å, I = 157
- 2θ 20.98, 4.234 Å, I = 117
- 2θ 59.06, 1.564 Å, I = 107
- 2θ 23.30, 3.818 Å, I = 93
- 2θ 73.40, 1.290 Å, I = 85

Atomic structure:
Lattice parameters (Å, degrees): 9.565 9.565 9.565 38.82 38.82 38.82
Atoms (fractional coordinates):
Ca  0.167  0.167  0.167
Ca  0.833  0.833  0.833
Hf  0.013  0.757  0.387
Hf  0.243  0.613  0.987
Hf  0.387  0.013  0.757
Hf  0.500  0.500  0.500
Hf  0.613  0.987  0.243
Hf  0.757  0.387  0.013
Hf  0.987  0.243  0.613
O  0.074  0.074  0.074
O  0.089  0.350  0.653
O  0.171  0.738  0.469
O  0.262  0.531  0.829
O  0.263  0.263  0.263
O  0.347  0.911  0.650
O  0.350  0.653  0.089
O  0.469  0.171  0.738
O  0.531  0.829  0.262
O  0.650  0.347  0.911
O  0.653  0.089  0.350
O  0.737  0.737  0.737
O  0.738  0.469  0.171
O  0.829  0.262  0.531
O  0.911  0.650  0.347
O  0.926  0.926  0.926

# 6
For HfIr, a PBE-relaxed structure gives the simulated powder X-ray diffraction pattern in this record (Cu Kα (weighted mean of Kα1 and Kα2)).
Neutral-atom scattering factors, no anomalous dispersion.

Most intense lines, 10° ≤ 2θ ≤ 90°, by intensity:
- 2θ 35.93, 2.499 Å, I = 1000
- 2θ 35.68, 2.516 Å, I = 878
- 2θ 40.23, 2.241 Å, I = 783
- 2θ 35.29, 2.543 Å, I = 684
- 2θ 43.70, 2.071 Å, I = 671
- 2θ 44.34, 2.043 Å, I = 581
- 2θ 40.79, 2.212 Å, I = 536
- 2θ 54.58, 1.682 Å, I = 399
- 2θ 58.23, 1.584 Å, I = 290
- 2θ 73.15, 1.294 Å, I = 274
- 2θ 78.13, 1.223 Å, I = 187
- 2θ 75.53, 1.259 Å, I = 181

Atomic structure:
Lattice parameters (Å, degrees): 3.169 4.483 5.302 90.00 106.38 90.00
Atoms (fractional coordinates):
Hf  0.138  0.250  0.287
Hf  0.862  0.750  0.713
Ir  0.413  0.250  0.816
Ir  0.587  0.750  0.184